Structure and computed X-ray diffraction stick pattern of Fe2RePbO (the PBE+U geometry in Alexandria; Cu Kα (λ = 1.5418 Å)).
Lines closer than 0.1° are merged.

Principal peaks in the range 10 to 90 degrees two-theta, sorted by position:
2θ/deg, I (rel.), hkl
21.81, 23, 0 0 1
28.55, 31, 1 1 0
36.22, 100, 1 1 1
40.82, 41, 2 0 0
44.47, 16, 0 0 2
46.75, 14, 2 0 1
53.70, 12, 1 1 2
59.10, 14, 2 2 0
61.94, 23, 2 0 2
71.32, 28, 3 1 1
76.47, 12, 1 1 3
76.87, 12, 2 2 2

Cell and atoms:
```
Fe2RePbO
1.0
4.4211 0.0000 0.0000
0.0000 4.4211 0.0000
0.0000 0.0000 4.0746
Fe Re Pb O
2 1 1 1
Direct
0.0000 0.5000 0.0000
0.5000 0.0000 0.0000
0.0000 0.0000 0.5000
0.5000 0.5000 0.5000
0.0000 0.0000 0.0000
```